This entry pairs a crystal structure of Ho5Lu3 with its computed X-ray powder pattern. Radiation: Cu Ka. Structure: DFT lattice parameters and positions (GGA-PBE).
Peak positions follow from Bragg's law for the DFT cell and can differ from measured ones.

Structure:
```
data_Ho5Lu3
_chemical_formula_sum 'Ho5 Lu3'
_cell_length_a 7.118
_cell_length_b 7.118
_cell_length_c 5.520
_cell_angle_alpha 90.00
_cell_angle_beta 90.00
_cell_angle_gamma 120.00
_symmetry_space_group_name_H-M 'P 1'
_symmetry_Int_Tables_number 1
loop_
_symmetry_equiv_pos_as_xyz
'x,y,z'
loop_
_atom_site_label
_atom_site_fract_x
_atom_site_fract_y
_atom_site_fract_z
Ho1 0.000 0.000 0.000
Ho2 0.000 0.500 0.000
Ho3 0.333 0.667 0.500
Ho4 0.500 0.000 0.000
Ho5 0.500 0.500 0.000
Lu1 0.334 0.167 0.500
Lu2 0.833 0.167 0.500
Lu3 0.833 0.666 0.500
```

Main lines, by angle (10 to 90 degrees two-theta):
2θ = 28.97°, 3.082 Å, rel. 24
2θ = 32.44°, 2.760 Å, rel. 24
2θ = 33.29°, 2.691 Å, rel. 100
2θ = 44.04°, 2.056 Å, rel. 15
2θ = 51.34°, 1.780 Å, rel. 20
2θ = 58.41°, 1.580 Å, rel. 20
2θ = 62.06°, 1.496 Å, rel. 22
2θ = 62.58°, 1.484 Å, rel. 16

---

This entry pairs a crystal structure of HoLu3Ni4 with its computed X-ray powder pattern. Radiation: Cu Ka. Structure: DFT lattice parameters and positions (GGA-PBE).
Peak positions follow from Bragg's law for the DFT cell and can differ from measured ones.

Structure:
```
data_HoLu3Ni4
_chemical_formula_sum 'Ho1 Lu3 Ni4'
_cell_length_a 5.340
_cell_length_b 4.088
_cell_length_c 6.906
_cell_angle_alpha 90.00
_cell_angle_beta 90.27
_cell_angle_gamma 90.00
_symmetry_space_group_name_H-M 'P 1'
_symmetry_Int_Tables_number 1
loop_
_symmetry_equiv_pos_as_xyz
'x,y,z'
loop_
_atom_site_label
_atom_site_fract_x
_atom_site_fract_y
_atom_site_fract_z
Ho1 0.000 0.000 0.000
Lu1 0.238 0.000 0.501
Lu2 0.500 0.500 0.143
Lu3 0.736 0.500 0.639
Ni1 0.244 0.500 0.781
Ni2 0.497 0.000 0.857
Ni3 0.740 0.000 0.361
Ni4 0.996 0.500 0.287
```

Main lines, by angle (10 to 90 degrees two-theta):
2θ = 27.48°, 3.246 Å, rel. 41
2θ = 30.43°, 2.938 Å, rel. 90
2θ = 33.99°, 2.638 Å, rel. 100
2θ = 36.01°, 2.494 Å, rel. 47
2θ = 36.13°, 2.486 Å, rel. 46
2θ = 38.11°, 2.362 Å, rel. 44
2θ = 44.32°, 2.044 Å, rel. 51
2θ = 58.41°, 1.580 Å, rel. 48

---

This entry pairs a crystal structure of HoLu6Ni2Te2 with its computed X-ray powder pattern. Radiation: Cu Ka. Structure: DFT lattice parameters and positions (GGA-PBE).
Peak positions follow from Bragg's law for the DFT cell and can differ from measured ones.

Structure:
```
data_HoLu6Ni2Te2
_chemical_formula_sum 'Ho1 Lu6 Ni2 Te2'
_cell_length_a 9.159
_cell_length_b 9.159
_cell_length_c 9.159
_cell_angle_alpha 156.04
_cell_angle_beta 67.26
_cell_angle_gamma 118.21
_symmetry_space_group_name_H-M 'P 1'
_symmetry_Int_Tables_number 1
loop_
_symmetry_equiv_pos_as_xyz
'x,y,z'
loop_
_atom_site_label
_atom_site_fract_x
_atom_site_fract_y
_atom_site_fract_z
Ho1 0.000 0.000 0.000
Lu1 0.062 0.376 0.686
Lu2 0.081 0.728 0.353
Lu3 0.375 0.728 0.647
Lu4 0.446 0.582 0.865
Lu5 0.691 0.376 0.314
Lu6 0.717 0.582 0.135
Ni1 0.306 0.069 0.236
Ni2 0.833 0.069 0.764
Te1 0.339 0.339 0.000
Te2 0.732 0.232 0.500
```

Main lines, by angle (10 to 90 degrees two-theta):
2θ = 30.81°, 2.903 Å, rel. 74
2θ = 33.58°, 2.669 Å, rel. 84
2θ = 34.65°, 2.589 Å, rel. 100
2θ = 35.11°, 2.556 Å, rel. 55
2θ = 35.31°, 2.542 Å, rel. 25
2θ = 47.84°, 1.901 Å, rel. 30
2θ = 52.16°, 1.753 Å, rel. 27
2θ = 59.72°, 1.548 Å, rel. 38

---

This entry pairs a crystal structure of Ho3LuPt4 with its computed X-ray powder pattern. Radiation: Cu Ka. Structure: DFT lattice parameters and positions (GGA-PBE).
Peak positions follow from Bragg's law for the DFT cell and can differ from measured ones.

Structure:
```
data_Ho3LuPt4
_chemical_formula_sum 'Ho3 Lu1 Pt4'
_cell_length_a 5.521
_cell_length_b 4.476
_cell_length_c 6.968
_cell_angle_alpha 90.00
_cell_angle_beta 90.24
_cell_angle_gamma 90.00
_symmetry_space_group_name_H-M 'P 1'
_symmetry_Int_Tables_number 1
loop_
_symmetry_equiv_pos_as_xyz
'x,y,z'
loop_
_atom_site_label
_atom_site_fract_x
_atom_site_fract_y
_atom_site_fract_z
Ho1 0.000 0.000 0.000
Ho2 0.217 0.000 0.499
Ho3 0.716 0.500 0.636
Lu1 0.499 0.500 0.137
Pt1 0.015 0.500 0.272
Pt2 0.204 0.500 0.776
Pt3 0.514 0.000 0.867
Pt4 0.699 0.000 0.358
```

Main lines, by angle (10 to 90 degrees two-theta):
2θ = 32.57°, 2.749 Å, rel. 72
2θ = 34.91°, 2.570 Å, rel. 23
2θ = 35.01°, 2.563 Å, rel. 21
2θ = 36.51°, 2.461 Å, rel. 100
2θ = 40.30°, 2.238 Å, rel. 50
2θ = 40.52°, 2.226 Å, rel. 88
2θ = 54.39°, 1.687 Å, rel. 25
2θ = 70.70°, 1.332 Å, rel. 19

---

This entry pairs a crystal structure of TbHoLu with its computed X-ray powder pattern. Radiation: Cu Ka. Structure: DFT lattice parameters and positions (GGA-PBE).
Peak positions follow from Bragg's law for the DFT cell and can differ from measured ones.

Structure:
```
data_TbHoLu
_chemical_formula_sum 'Tb1 Ho1 Lu1'
_cell_length_a 5.345
_cell_length_b 5.345
_cell_length_c 5.345
_cell_angle_alpha 60.00
_cell_angle_beta 60.00
_cell_angle_gamma 60.00
_symmetry_space_group_name_H-M 'P 1'
_symmetry_Int_Tables_number 1
loop_
_symmetry_equiv_pos_as_xyz
'x,y,z'
loop_
_atom_site_label
_atom_site_fract_x
_atom_site_fract_y
_atom_site_fract_z
Tb1 0.000 0.000 0.000
Ho1 0.500 0.500 0.500
Lu1 0.750 0.750 0.750
```

Main lines, by angle (10 to 90 degrees two-theta):
2θ = 20.35°, 4.364 Å, rel. 28
2θ = 23.54°, 3.780 Å, rel. 11
2θ = 33.53°, 2.673 Å, rel. 100
2θ = 39.54°, 2.279 Å, rel. 16
2θ = 48.15°, 1.890 Å, rel. 18
2θ = 59.95°, 1.543 Å, rel. 38
2θ = 70.47°, 1.336 Å, rel. 12
2θ = 80.33°, 1.195 Å, rel. 17

---

This entry pairs a crystal structure of Ho5Lu3Te with its computed X-ray powder pattern. Radiation: Cu Ka. Structure: DFT lattice parameters and positions (GGA-PBE).
Peak positions follow from Bragg's law for the DFT cell and can differ from measured ones.

Structure:
```
data_Ho5Lu3Te
_chemical_formula_sum 'Ho5 Lu3 Te1'
_cell_length_a 9.106
_cell_length_b 9.106
_cell_length_c 3.727
_cell_angle_alpha 90.00
_cell_angle_beta 90.00
_cell_angle_gamma 120.00
_symmetry_space_group_name_H-M 'P 1'
_symmetry_Int_Tables_number 1
loop_
_symmetry_equiv_pos_as_xyz
'x,y,z'
loop_
_atom_site_label
_atom_site_fract_x
_atom_site_fract_y
_atom_site_fract_z
Ho1 0.000 0.276 0.000
Ho2 0.276 0.000 0.000
Ho3 0.333 0.667 0.000
Ho4 0.667 0.333 0.000
Ho5 0.724 0.724 0.000
Lu1 0.000 0.615 0.500
Lu2 0.385 0.385 0.500
Lu3 0.615 0.000 0.500
Te1 0.000 0.000 0.500
```

Main lines, by angle (10 to 90 degrees two-theta):
2θ = 29.98°, 2.981 Å, rel. 38
2θ = 31.01°, 2.884 Å, rel. 100
2θ = 33.07°, 2.709 Å, rel. 54
2θ = 34.11°, 2.629 Å, rel. 77
2θ = 38.68°, 2.328 Å, rel. 25
2θ = 48.87°, 1.864 Å, rel. 15
2θ = 56.54°, 1.628 Å, rel. 36
2θ = 60.94°, 1.520 Å, rel. 29

---

This entry pairs a crystal structure of Ho2Tm3Lu3 with its computed X-ray powder pattern. Radiation: Cu Ka. Structure: DFT lattice parameters and positions (GGA-PBE).
Peak positions follow from Bragg's law for the DFT cell and can differ from measured ones.

Structure:
```
data_Ho2Tm3Lu3
_chemical_formula_sum 'Ho2 Tm3 Lu3'
_cell_length_a 7.080
_cell_length_b 7.080
_cell_length_c 5.496
_cell_angle_alpha 90.00
_cell_angle_beta 90.00
_cell_angle_gamma 120.00
_symmetry_space_group_name_H-M 'P 1'
_symmetry_Int_Tables_number 1
loop_
_symmetry_equiv_pos_as_xyz
'x,y,z'
loop_
_atom_site_label
_atom_site_fract_x
_atom_site_fract_y
_atom_site_fract_z
Ho1 0.000 0.000 0.000
Ho2 0.333 0.667 0.500
Tm1 0.500 0.001 0.000
Tm2 0.500 0.500 0.000
Tm3 0.999 0.500 0.000
Lu1 0.334 0.167 0.500
Lu2 0.833 0.167 0.500
Lu3 0.833 0.666 0.500
```

Main lines, by angle (10 to 90 degrees two-theta):
2θ = 29.13°, 3.066 Å, rel. 24
2θ = 32.59°, 2.748 Å, rel. 24
2θ = 33.47°, 2.677 Å, rel. 100
2θ = 44.26°, 2.046 Å, rel. 15
2θ = 51.64°, 1.770 Å, rel. 20
2θ = 58.71°, 1.573 Å, rel. 20
2θ = 62.41°, 1.488 Å, rel. 22
2θ = 62.95°, 1.477 Å, rel. 16

---

This entry pairs a crystal structure of HoMg with its computed X-ray powder pattern. Radiation: Cu Ka. Structure: DFT lattice parameters and positions (GGA-PBE).
Peak positions follow from Bragg's law for the DFT cell and can differ from measured ones.

Structure:
```
data_HoMg
_chemical_formula_sum 'Ho5 Mg5'
_cell_length_a 10.794
_cell_length_b 10.794
_cell_length_c 5.071
_cell_angle_alpha 90.00
_cell_angle_beta 90.00
_cell_angle_gamma 152.81
_symmetry_space_group_name_H-M 'P 1'
_symmetry_Int_Tables_number 1
loop_
_symmetry_equiv_pos_as_xyz
'x,y,z'
loop_
_atom_site_label
_atom_site_fract_x
_atom_site_fract_y
_atom_site_fract_z
Ho1 0.000 0.000 0.000
Ho2 0.194 0.806 0.000
Ho3 0.309 0.691 0.500
Ho4 0.691 0.309 0.500
Ho5 0.806 0.194 0.000
Mg1 0.091 0.909 0.500
Mg2 0.409 0.591 0.000
Mg3 0.500 0.500 0.500
Mg4 0.591 0.409 0.000
Mg5 0.909 0.091 0.500
```

Main lines, by angle (10 to 90 degrees two-theta):
2θ = 25.19°, 3.536 Å, rel. 26
2θ = 25.47°, 3.497 Å, rel. 12
2θ = 27.96°, 3.192 Å, rel. 25
2θ = 32.85°, 2.727 Å, rel. 100
2θ = 35.39°, 2.536 Å, rel. 43
2θ = 50.92°, 1.793 Å, rel. 15
2θ = 56.96°, 1.617 Å, rel. 18
2θ = 61.93°, 1.498 Å, rel. 32

---

This entry pairs a crystal structure of HoMg with its computed X-ray powder pattern. Radiation: Cu Ka. Structure: DFT lattice parameters and positions (GGA-PBE).
Peak positions follow from Bragg's law for the DFT cell and can differ from measured ones.

Structure:
```
data_HoMg
_chemical_formula_sum 'Ho6 Mg6'
_cell_length_a 5.384
_cell_length_b 9.959
_cell_length_c 6.071
_cell_angle_alpha 90.00
_cell_angle_beta 90.00
_cell_angle_gamma 90.00
_symmetry_space_group_name_H-M 'P 1'
_symmetry_Int_Tables_number 1
loop_
_symmetry_equiv_pos_as_xyz
'x,y,z'
loop_
_atom_site_label
_atom_site_fract_x
_atom_site_fract_y
_atom_site_fract_z
Ho1 0.000 0.071 0.000
Ho2 0.000 0.406 0.064
Ho3 0.000 0.594 0.564
Ho4 0.000 0.929 0.500
Ho5 0.500 0.411 0.726
Ho6 0.500 0.589 0.226
Mg1 0.000 0.254 0.539
Mg2 0.000 0.746 0.039
Mg3 0.500 0.084 0.692
Mg4 0.500 0.236 0.226
Mg5 0.500 0.764 0.726
Mg6 0.500 0.916 0.192
```

Main lines, by angle (10 to 90 degrees two-theta):
2θ = 17.81°, 4.979 Å, rel. 23
2θ = 23.83°, 3.734 Å, rel. 37
2θ = 28.50°, 3.132 Å, rel. 28
2θ = 30.72°, 2.910 Å, rel. 47
2θ = 33.28°, 2.692 Å, rel. 42
2θ = 33.90°, 2.644 Å, rel. 62
2θ = 35.03°, 2.561 Å, rel. 100
2θ = 45.92°, 1.976 Å, rel. 32

---

This entry pairs a crystal structure of HoMg with its computed X-ray powder pattern. Radiation: Cu Ka. Structure: DFT lattice parameters and positions (GGA-PBE).
Peak positions follow from Bragg's law for the DFT cell and can differ from measured ones.

Structure:
```
data_HoMg
_chemical_formula_sum 'Ho12 Mg12'
_cell_length_a 6.785
_cell_length_b 17.829
_cell_length_c 5.389
_cell_angle_alpha 90.00
_cell_angle_beta 90.00
_cell_angle_gamma 90.00
_symmetry_space_group_name_H-M 'P 1'
_symmetry_Int_Tables_number 1
loop_
_symmetry_equiv_pos_as_xyz
'x,y,z'
loop_
_atom_site_label
_atom_site_fract_x
_atom_site_fract_y
_atom_site_fract_z
Ho1 0.116 0.191 0.250
Ho2 0.116 0.309 0.750
Ho3 0.128 0.522 0.250
Ho4 0.128 0.978 0.750
Ho5 0.380 0.034 0.250
Ho6 0.380 0.466 0.750
Ho7 0.620 0.534 0.250
Ho8 0.620 0.966 0.750
Ho9 0.872 0.022 0.250
Ho10 0.872 0.478 0.750
Ho11 0.884 0.691 0.250
Ho12 0.884 0.809 0.750
Mg1 0.139 0.637 0.750
Mg2 0.139 0.863 0.250
Mg3 0.375 0.142 0.750
Mg4 0.375 0.358 0.250
Mg5 0.379 0.698 0.250
Mg6 0.379 0.802 0.750
Mg7 0.621 0.198 0.250
Mg8 0.621 0.302 0.750
Mg9 0.625 0.642 0.750
Mg10 0.625 0.858 0.250
Mg11 0.861 0.137 0.750
Mg12 0.861 0.363 0.250
```

Main lines, by angle (10 to 90 degrees two-theta):
2θ = 19.25°, 4.612 Å, rel. 29
2θ = 19.92°, 4.458 Å, rel. 19
2θ = 30.34°, 2.946 Å, rel. 21
2θ = 31.56°, 2.834 Å, rel. 25
2θ = 33.25°, 2.694 Å, rel. 36
2θ = 34.47°, 2.602 Å, rel. 45
2θ = 34.70°, 2.585 Å, rel. 100
2θ = 60.35°, 1.534 Å, rel. 19

---

This entry pairs a crystal structure of HoMg with its computed X-ray powder pattern. Radiation: Cu Ka. Structure: DFT lattice parameters and positions (GGA-PBE).
Peak positions follow from Bragg's law for the DFT cell and can differ from measured ones.

Structure:
```
data_HoMg
_chemical_formula_sum 'Ho4 Mg4'
_cell_length_a 6.716
_cell_length_b 5.985
_cell_length_c 5.438
_cell_angle_alpha 90.00
_cell_angle_beta 90.00
_cell_angle_gamma 90.00
_symmetry_space_group_name_H-M 'P 1'
_symmetry_Int_Tables_number 1
loop_
_symmetry_equiv_pos_as_xyz
'x,y,z'
loop_
_atom_site_label
_atom_site_fract_x
_atom_site_fract_y
_atom_site_fract_z
Ho1 0.137 0.077 0.250
Ho2 0.137 0.423 0.750
Ho3 0.863 0.577 0.250
Ho4 0.863 0.923 0.750
Mg1 0.370 0.591 0.250
Mg2 0.370 0.909 0.750
Mg3 0.630 0.091 0.250
Mg4 0.630 0.409 0.750
```

Main lines, by angle (10 to 90 degrees two-theta):
2θ = 13.18°, 6.716 Å, rel. 72
2θ = 25.81°, 3.452 Å, rel. 69
2θ = 30.53°, 2.929 Å, rel. 21
2θ = 32.94°, 2.719 Å, rel. 38
2θ = 34.20°, 2.622 Å, rel. 48
2θ = 34.79°, 2.578 Å, rel. 100
2θ = 60.03°, 1.541 Å, rel. 21
2θ = 64.21°, 1.451 Å, rel. 21

---

This entry pairs a crystal structure of HoMg with its computed X-ray powder pattern. Radiation: Cu Ka. Structure: DFT lattice parameters and positions (GGA-PBE).
Peak positions follow from Bragg's law for the DFT cell and can differ from measured ones.

Structure:
```
data_HoMg
_chemical_formula_sum 'Ho5 Mg5'
_cell_length_a 5.459
_cell_length_b 8.987
_cell_length_c 8.987
_cell_angle_alpha 141.93
_cell_angle_beta 90.00
_cell_angle_gamma 90.00
_symmetry_space_group_name_H-M 'P 1'
_symmetry_Int_Tables_number 1
loop_
_symmetry_equiv_pos_as_xyz
'x,y,z'
loop_
_atom_site_label
_atom_site_fract_x
_atom_site_fract_y
_atom_site_fract_z
Ho1 0.000 0.000 0.000
Ho2 0.000 0.407 0.610
Ho3 0.000 0.610 0.407
Ho4 0.500 0.055 0.264
Ho5 0.500 0.264 0.055
Mg1 0.000 0.197 0.792
Mg2 0.000 0.792 0.197
Mg3 0.500 0.472 0.872
Mg4 0.500 0.659 0.659
Mg5 0.500 0.872 0.472
```

Main lines, by angle (10 to 90 degrees two-theta):
2θ = 10.41°, 8.495 Å, rel. 32
2θ = 22.87°, 3.889 Å, rel. 23
2θ = 27.32°, 3.264 Å, rel. 18
2θ = 30.44°, 2.936 Å, rel. 25
2θ = 32.81°, 2.729 Å, rel. 26
2θ = 34.68°, 2.586 Å, rel. 100
2θ = 45.37°, 1.999 Å, rel. 17
2θ = 59.79°, 1.547 Å, rel. 21